The following is a theoretical powder diffraction line list of TbPr5Nd2Th. It was derived from a DFT-relaxed cell (PBE, Alexandria), using Cu Kα, 1.54184 Å.
Intensities are scaled so that the largest is 100.

Structure:
abc: 5.5073 22.1979 10.6356
angles: 90.00 90.00 90.00
Space group Cmcm (No. 63)
Inequivalent atoms, fractional coordinates:
Tb 0.0000 0.1024 0.2500 [4 per cell]
Pr 0.0000 0.0000 0.0000 [4 per cell]
Pr 0.0000 0.1280 0.7500 [4 per cell]
Pr 0.0000 0.2230 0.0585 [8 per cell]
Pr 0.0000 0.4983 0.2500 [4 per cell]
Nd 0.0000 0.3870 0.5036 [8 per cell]
Th 0.0000 0.2883 0.7500 [4 per cell]

Largest 10 diffraction maxima, in order of falling intensity, 2θ = 10–90°:
index, 2theta, Rel. int.
1 5 2, 30.85, 100
2 0 0, 32.52, 31
0 0 4, 33.71, 19
3 5 2, 56.98, 18
1 1 3, 30.25, 16
1 5 6, 58.55, 14
2 0 4, 47.54, 14
1 3 3, 32.38, 14
1 3 2, 26.22, 14
0 8 4, 47.32, 10

The following is a theoretical powder diffraction line list of TbPrNd6Tm2. It was derived from a DFT-relaxed cell (PBE, Alexandria), using Cu Kα, 1.54184 Å.
Intensities are scaled so that the largest is 100.

Structure:
abc: 9.3102 15.2695 9.7482
angles: 90.00 97.91 90.00
Space group C2/c (No. 15)
Inequivalent atoms, fractional coordinates:
Tb 0.0000 0.0306 0.2500 [4 per cell]
Pr 0.0000 0.4064 0.7500 [4 per cell]
Nd 0.0653 0.1747 0.9448 [8 per cell]
Nd 0.0969 0.3924 0.1199 [8 per cell]
Nd 0.2098 0.2256 0.3174 [8 per cell]
Tm 0.2442 0.0478 0.5473 [8 per cell]

Largest 10 diffraction maxima, in order of falling intensity, 2θ = 10–90°:
index, 2theta, Rel. int.
2 2 2, 30.88, 100
3 1 -1, 29.84, 57
0 2 3, 30.13, 49
1 3 2, 28.14, 44
2 4 -1, 31.01, 39
1 3 -3, 33.24, 37
1 5 -1, 31.84, 32
1 7 3, 52.37, 22
2 0 -6, 58.06, 20
2 2 -2, 27.45, 18

The following is a theoretical powder diffraction line list of Tb2Pr6NdTm. It was derived from a DFT-relaxed cell (PBE, Alexandria), using Cu Kα, 1.54184 Å.
Intensities are scaled so that the largest is 100.

Structure:
abc: 9.3660 15.4307 9.7534
angles: 90.00 97.37 90.00
Space group C2/c (No. 15)
Inequivalent atoms, fractional coordinates:
Tb 0.2494 0.0487 0.4531 [8 per cell]
Pr 0.0620 0.3211 0.9457 [8 per cell]
Pr 0.0976 0.1084 0.1172 [8 per cell]
Pr 0.2148 0.2790 0.3109 [8 per cell]
Nd 0.0000 0.4742 0.2500 [4 per cell]
Tm 0.0000 0.0881 0.7500 [4 per cell]

Largest 10 diffraction maxima, in order of falling intensity, 2θ = 10–90°:
index, 2theta, Rel. int.
2 2 2, 30.58, 100
0 2 3, 30.05, 61
3 1 -1, 29.71, 54
1 3 2, 27.91, 40
1 3 -3, 33.16, 39
2 4 -1, 30.78, 39
2 2 -2, 27.42, 23
1 5 -1, 31.56, 20
3 1 2, 36.86, 16
2 2 -3, 33.80, 15

The following is a theoretical powder diffraction line list of Tb2Pr6NdTm3. It was derived from a DFT-relaxed cell (PBE, Alexandria), using Cu Kα, 1.54184 Å.
Intensities are scaled so that the largest is 100.

Structure:
abc: 6.3102 10.9302 11.8974
angles: 90.00 100.16 90.00
Space group C2/m (No. 12)
Inequivalent atoms, fractional coordinates:
Tb 0.0000 0.1665 0.0000 [4 per cell]
Pr 0.2484 0.1670 0.7467 [8 per cell]
Pr 0.2491 0.5000 0.7467 [4 per cell]
Nd 0.0000 0.5000 0.0000 [2 per cell]
Tm 0.0000 0.0000 0.5000 [2 per cell]
Tm 0.0000 0.3332 0.5000 [4 per cell]

Largest 10 diffraction maxima, in order of falling intensity, 2θ = 10–90°:
index, 2theta, Rel. int.
1 3 1, 30.10, 100
2 0 2, 35.02, 67
0 0 4, 30.53, 32
0 6 0, 50.07, 24
1 3 5, 50.65, 23
3 3 3, 59.79, 19
4 0 0, 59.54, 14
2 0 6, 60.30, 14
2 6 2, 62.56, 12
4 6 0, 81.44, 12

The following is a theoretical powder diffraction line list of TbPrNd2Tm4. It was derived from a DFT-relaxed cell (PBE, Alexandria), using Cu Kα, 1.54184 Å.
Intensities are scaled so that the largest is 100.

Structure:
abc: 6.7818 11.8468 13.2360
angles: 90.00 90.00 90.00
Space group Imma (No. 74)
Inequivalent atoms, fractional coordinates:
Tb 0.2500 0.2500 0.2500 [4 per cell]
Pr 0.0000 0.0000 0.0000 [4 per cell]
Nd 0.0000 0.0000 0.5000 [4 per cell]
Nd 0.2500 0.2500 0.7500 [4 per cell]
Tm 0.0000 0.0029 0.2501 [8 per cell]
Tm 0.2502 0.2500 0.0031 [8 per cell]

Largest 10 diffraction maxima, in order of falling intensity, 2θ = 10–90°:
index, 2theta, Rel. int.
2 2 0, 30.37, 100
2 2 4, 41.05, 89
0 0 4, 26.94, 68
0 4 0, 30.18, 51
0 4 4, 40.89, 45
2 6 4, 61.11, 27
2 2 8, 64.63, 23
2 6 0, 53.72, 20
4 4 4, 69.98, 18
4 0 4, 61.45, 14

The following is a theoretical powder diffraction line list of Tb2PrNd2Tm. It was derived from a DFT-relaxed cell (PBE, Alexandria), using Cu Kα, 1.54184 Å.
Intensities are scaled so that the largest is 100.

Structure:
abc: 7.0755 5.7029 9.8875
angles: 90.00 90.00 90.00
Space group Pmma (No. 51)
Inequivalent atoms, fractional coordinates:
Tb 0.2500 0.0000 0.1629 [2 per cell]
Tb 0.2500 0.5000 0.6713 [2 per cell]
Pr 0.2500 0.5000 0.3447 [2 per cell]
Nd 0.0000 0.5000 0.0000 [2 per cell]
Nd 0.2500 0.0000 0.8220 [2 per cell]
Tm 0.0000 0.0000 0.5000 [2 per cell]

Largest 10 diffraction maxima, in order of falling intensity, 2θ = 10–90°:
index, 2theta, Rel. int.
0 2 0, 31.36, 100
2 0 2, 31.09, 93
2 3 1, 55.65, 35
2 2 2, 44.74, 34
4 2 0, 61.70, 29
0 3 3, 55.82, 19
2 4 2, 74.21, 15
4 3 3, 79.52, 14
0 4 0, 65.43, 12
4 4 0, 87.94, 11